Diffraction record for TbInNi. The powder diffractogram is computed, not measured: it uses a crystal structure in Alexandria, relaxed with GGA-PBE and a wavelength of 1.5418 Å.
Peak positions follow from Bragg's law for the DFT cell and can differ from measured ones.

Atomic structure:
```
data_TbInNi
_chemical_formula_sum 'Tb6 In6 Ni6'
_space_group_name_H-M_alt 'P m m a'
_space_group_IT_number 51
_space_group_name_Hall '-P 2a 2a'
_cell_length_a 13.1263
_cell_length_b 3.7193
_cell_length_c 7.6162
_cell_angle_alpha 90.00
_cell_angle_beta 90.00
_cell_angle_gamma 90.00
loop_
_atom_site_label
_atom_site_type_symbol
_atom_site_fract_x
_atom_site_fract_y
_atom_site_fract_z
_atom_site_occupancy
Tb1 Tb 0.0447 0.0000 0.2212 1
Tb2 Tb 0.2500 0.0000 0.8532 1
In1 In 0.1191 0.5000 0.5723 1
In2 In 0.2500 0.5000 0.1958 1
Ni1 Ni 0.0923 0.5000 0.9430 1
Ni2 Ni 0.2500 0.0000 0.4513 1
```

The 10 most intense peaks (15 to 90 degrees two-theta), in order of falling intensity:
index  two_theta  I (rel.)
3 1 1  33.7  100
4 1 0  36.5  61
4 0 2  36.1  30
1 1 2  34.4  22
0 2 0  49.0  21
8 0 0  56.1  13
3 1 2  39.6  12
5 0 1  36.2  12
3 0 3  41.1  12
4 2 2  62.3  12